Record 1
Starting from the PBE geometry in the Materials Project, the X-ray powder pattern of NaMg14Mo was simulated for a wavelength of 1.5418 Å.

Principal peaks in the range 2θ from 5° to 70°, low angle first:
2θ 8.82, rel. 24; 2θ 15.83, rel. 16; 2θ 18.15, rel. 20; 2θ 31.97, rel. 23; 2θ 32.89, rel. 14; 2θ 35.84, rel. 34; 2θ 36.78, rel. 100; 2θ 37.59, rel. 43; 2θ 48.78, rel. 14; 2θ 58.15, rel. 16; 2θ 65.03, rel. 17; 2θ 69.77, rel. 13

Structure:
abc: 10.0212 6.3487 6.3487
angles: 61.86 90.00 90.00
Element x y z (fractional)
1 Na 0.0000 0.0000 0.0000
2 Mg 0.0000 0.5007 0.9994
3 Mg 0.0000 0.9994 0.5007
4 Mg 0.2389 0.6618 0.6618
5 Mg 0.2419 0.1827 0.6592
6 Mg 0.2419 0.6592 0.1827
7 Mg 0.2545 0.1704 0.1704
8 Mg 0.5000 0.4997 0.4997
9 Mg 0.5000 0.5038 0.9973
10 Mg 0.5000 0.9973 0.5038
11 Mg 0.5000 0.9980 0.9980
12 Mg 0.7455 0.1704 0.1704
13 Mg 0.7581 0.1827 0.6592
14 Mg 0.7581 0.6592 0.1827
15 Mg 0.7611 0.6618 0.6618
16 Mo 0.0000 0.4933 0.4933



Record 2
Starting from the PBE geometry in the Materials Project, the X-ray powder pattern of NaMg6Mo was simulated for a wavelength of 1.5418 Å.

Principal peaks in the range 2θ from 5° to 70°, low angle first:
2θ 16.23, rel. 38; 2θ 16.41, rel. 19; 2θ 17.52, rel. 15; 2θ 23.97, rel. 23; 2θ 32.79, rel. 20; 2θ 33.16, rel. 19; 2θ 35.48, rel. 35; 2θ 37.42, rel. 100; 2θ 37.75, rel. 35; 2θ 49.08, rel. 12; 2θ 59.01, rel. 13; 2θ 64.98, rel. 18

Structure:
abc: 5.0608 6.2622 6.2622
angles: 60.73 90.00 90.00
Element x y z (fractional)
1 Na 0.0000 0.0000 0.0000
2 Mg 0.0000 0.4998 0.4998
3 Mg 0.0000 0.5245 0.9903
4 Mg 0.0000 0.9903 0.5245
5 Mg 0.5000 0.3276 0.3276
6 Mg 0.5000 0.3318 0.8294
7 Mg 0.5000 0.8294 0.3318
8 Mo 0.5000 0.8161 0.8161



Record 3
Starting from the PBE geometry in the Materials Project, the X-ray powder pattern of NaMg14Mo was simulated for a wavelength of 1.5418 Å.

Principal peaks in the range 2θ from 5° to 70°, low angle first:
2θ 8.85, rel. 21; 2θ 16.01, rel. 13; 2θ 18.32, rel. 20; 2θ 23.99, rel. 8; 2θ 29.33, rel. 5; 2θ 32.34, rel. 26; 2θ 35.94, rel. 24; 2θ 37.13, rel. 100; 2θ 49.12, rel. 15; 2θ 57.68, rel. 17; 2θ 65.38, rel. 17; 2θ 69.86, rel. 18

Structure:
abc: 6.3931 6.3931 9.9950
angles: 90.00 90.00 120.00
Element x y z (fractional)
1 Na 0.0000 0.0000 0.0000
2 Mg 0.9996 0.4998 0.5000
3 Mg 0.0039 0.5020 0.0000
4 Mg 0.1623 0.3246 0.2619
5 Mg 0.1623 0.3246 0.7381
6 Mg 0.1623 0.8377 0.2619
7 Mg 0.1623 0.8377 0.7381
8 Mg 0.4980 0.5020 0.0000
9 Mg 0.4980 0.9961 0.0000
10 Mg 0.5002 0.0004 0.5000
11 Mg 0.5002 0.4998 0.5000
12 Mg 0.6667 0.3333 0.2483
13 Mg 0.6667 0.3333 0.7517
14 Mg 0.6754 0.8377 0.2619
15 Mg 0.6754 0.8377 0.7381
16 Mo 0.0000 0.0000 0.5000



Record 4
Starting from the PBE geometry in the Materials Project, the X-ray powder pattern of NaMg6Mo was simulated for a wavelength of 1.5418 Å.

Principal peaks in the range 2θ from 5° to 70°, low angle first:
2θ 14.10, rel. 47; 2θ 19.99, rel. 15; 2θ 20.42, rel. 7; 2θ 24.90, rel. 12; 2θ 28.73, rel. 11; 2θ 31.85, rel. 7; 2θ 35.24, rel. 100; 2θ 38.13, rel. 16; 2θ 40.62, rel. 33; 2θ 41.52, rel. 16; 2θ 58.79, rel. 10; 2θ 59.49, rel. 20

Structure:
abc: 6.2822 6.2822 4.3494
angles: 90.00 90.00 90.00
Element x y z (fractional)
1 Na 0.0000 0.0000 0.0000
2 Mg 0.0000 0.5000 0.0000
3 Mg 0.2693 0.2693 0.5000
4 Mg 0.2693 0.7307 0.5000
5 Mg 0.5000 0.0000 0.0000
6 Mg 0.7307 0.2693 0.5000
7 Mg 0.7307 0.7307 0.5000
8 Mo 0.5000 0.5000 0.0000



Record 5
Starting from the PBE geometry in the Materials Project, the X-ray powder pattern of NaMg6Mo was simulated for a wavelength of 1.5418 Å.

Principal peaks in the range 2θ from 5° to 70°, low angle first:
2θ 14.13, rel. 48; 2θ 19.96, rel. 8; 2θ 24.90, rel. 12; 2θ 35.28, rel. 100; 2θ 38.10, rel. 9; 2θ 38.27, rel. 7; 2θ 40.55, rel. 16; 2θ 40.87, rel. 16; 2θ 41.49, rel. 16; 2θ 58.93, rel. 10; 2θ 59.41, rel. 10; 2θ 59.65, rel. 10

Structure:
abc: 4.3533 6.2690 6.2690
angles: 89.57 90.00 90.00
Element x y z (fractional)
1 Na 0.0000 0.0000 0.0000
2 Mg 0.0000 0.0073 0.5014
3 Mg 0.0000 0.5014 0.0073
4 Mg 0.5000 0.2735 0.7375
5 Mg 0.5000 0.2781 0.2781
6 Mg 0.5000 0.7321 0.7321
7 Mg 0.5000 0.7375 0.2735
8 Mo 0.0000 0.5059 0.5059



Record 6
Starting from the PBE geometry in the Materials Project, the X-ray powder pattern of Mg14NbMo was simulated for a wavelength of 1.5418 Å.

Principal peaks in the range 2θ from 5° to 70°, low angle first:
2θ 8.81, rel. 85; 2θ 15.98, rel. 24; 2θ 17.68, rel. 16; 2θ 18.28, rel. 31; 2θ 32.28, rel. 13; 2θ 33.58, rel. 38; 2θ 35.80, rel. 40; 2θ 37.04, rel. 61; 2θ 38.21, rel. 100; 2θ 49.90, rel. 20; 2θ 58.40, rel. 18; 2θ 65.92, rel. 18

Structure:
abc: 10.0336 6.3268 6.3268
angles: 57.50 90.00 90.00
Element x y z (fractional)
1 Mg 0.0000 0.0000 0.0000
2 Mg 0.0000 0.0017 0.4999
3 Mg 0.0000 0.4992 0.4992
4 Mg 0.0000 0.4999 0.0017
5 Mg 0.2534 0.6589 0.6589
6 Mg 0.2603 0.1574 0.1574
7 Mg 0.2615 0.1666 0.6706
8 Mg 0.2615 0.6706 0.1666
9 Mg 0.5000 0.0006 0.5041
10 Mg 0.5000 0.5041 0.0006
11 Mg 0.7385 0.1666 0.6706
12 Mg 0.7385 0.6706 0.1666
13 Mg 0.7397 0.1574 0.1574
14 Mg 0.7466 0.6589 0.6589
15 Nb 0.5000 0.5046 0.5046
16 Mo 0.5000 0.0041 0.0041



Record 7
Starting from the PBE geometry in the Materials Project, the X-ray powder pattern of Mg14NbMo was simulated for a wavelength of 1.5418 Å.

Principal peaks in the range 2θ from 5° to 70°, low angle first:
2θ 16.26, rel. 41; 2θ 17.94, rel. 10; 2θ 24.30, rel. 24; 2θ 28.35, rel. 10; 2θ 32.85, rel. 29; 2θ 33.75, rel. 12; 2θ 36.34, rel. 24; 2θ 37.68, rel. 100; 2θ 47.81, rel. 11; 2θ 49.79, rel. 17; 2θ 58.65, rel. 17; 2θ 66.26, rel. 18

Structure:
abc: 6.2962 6.2962 9.8897
angles: 90.00 90.00 120.00
Element x y z (fractional)
1 Mg 0.0000 0.0000 0.2483
2 Mg 0.0000 0.0000 0.7517
3 Mg 0.0169 0.5085 0.2525
4 Mg 0.0169 0.5085 0.7475
5 Mg 0.3348 0.1674 0.5000
6 Mg 0.3370 0.1685 0.0000
7 Mg 0.4915 0.5085 0.2525
8 Mg 0.4915 0.5085 0.7475
9 Mg 0.4915 0.9831 0.2525
10 Mg 0.4915 0.9831 0.7475
11 Mg 0.8315 0.1685 0.0000
12 Mg 0.8315 0.6630 0.0000
13 Mg 0.8326 0.1674 0.5000
14 Mg 0.8326 0.6652 0.5000
15 Nb 0.3333 0.6667 0.0000
16 Mo 0.3333 0.6667 0.5000



Record 8
Starting from the PBE geometry in the Materials Project, the X-ray powder pattern of Mg6NbMo was simulated for a wavelength of 1.5418 Å.

Principal peaks in the range 2θ from 5° to 70°, low angle first:
2θ 16.02, rel. 58; 2θ 17.81, rel. 39; 2θ 24.04, rel. 33; 2θ 32.36, rel. 15; 2θ 35.13, rel. 37; 2θ 36.06, rel. 53; 2θ 37.18, rel. 64; 2θ 39.66, rel. 100; 2θ 49.21, rel. 22; 2θ 51.24, rel. 24; 2θ 59.52, rel. 16; 2θ 67.25, rel. 20

Structure:
abc: 4.9801 6.2375 6.2375
angles: 54.99 90.00 90.00
Element x y z (fractional)
1 Mg 0.0000 0.0000 0.0000
2 Mg 0.0000 0.0198 0.5130
3 Mg 0.0000 0.4959 0.4959
4 Mg 0.0000 0.5130 0.0198
5 Mg 0.5000 0.3530 0.8537
6 Mg 0.5000 0.8537 0.3530
7 Nb 0.5000 0.8525 0.8525
8 Mo 0.5000 0.3535 0.3535



Record 9
Starting from the PBE geometry in the Materials Project, the X-ray powder pattern of Mg6NbMo was simulated for a wavelength of 1.5418 Å.

Principal peaks in the range 2θ from 5° to 70°, low angle first:
2θ 16.19, rel. 34; 2θ 16.77, rel. 100; 2θ 24.63, rel. 18; 2θ 33.91, rel. 47; 2θ 34.22, rel. 28; 2θ 37.39, rel. 43; 2θ 37.81, rel. 77; 2θ 38.87, rel. 85; 2θ 41.23, rel. 20; 2θ 48.07, rel. 17; 2θ 51.35, rel. 28; 2θ 68.43, rel. 15

Structure:
abc: 4.8107 6.2530 6.2530
angles: 57.74 90.00 90.00
Element x y z (fractional)
1 Mg 0.0000 0.0000 0.0000
2 Mg 0.0000 0.0035 0.4854
3 Mg 0.0000 0.4854 0.0035
4 Mg 0.5000 0.3485 0.8338
5 Mg 0.5000 0.8338 0.3485
6 Mg 0.5000 0.8379 0.8379
7 Nb 0.0000 0.4784 0.4784
8 Mo 0.5000 0.3580 0.3580



Record 10
Starting from the PBE geometry in the Materials Project, the X-ray powder pattern of Mg6NiMo was simulated for a wavelength of 1.5418 Å.

Principal peaks in the range 2θ from 5° to 70°, low angle first:
2θ 16.50, rel. 40; 2θ 17.21, rel. 90; 2θ 34.82, rel. 52; 2θ 34.97, rel. 22; 2θ 38.19, rel. 49; 2θ 38.57, rel. 84; 2θ 39.88, rel. 100; 2θ 42.16, rel. 18; 2θ 49.10, rel. 16; 2θ 52.63, rel. 30; 2θ 60.55, rel. 15; 2θ 69.28, rel. 15

Structure:
abc: 4.7135 6.1236 6.1236
angles: 57.29 90.00 90.00
Element x y z (fractional)
1 Mg 0.0000 0.0000 0.0000
2 Mg 0.0000 0.0175 0.4951
3 Mg 0.0000 0.4951 0.0175
4 Mg 0.5000 0.3504 0.8345
5 Mg 0.5000 0.8345 0.3504
6 Mg 0.5000 0.8410 0.8410
7 Ni 0.0000 0.4748 0.4748
8 Mo 0.5000 0.3587 0.3587



Record 11
Starting from the PBE geometry in the Materials Project, the X-ray powder pattern of Mg6NiMo was simulated for a wavelength of 1.5418 Å.

Principal peaks in the range 2θ from 5° to 70°, low angle first:
2θ 16.82, rel. 42; 2θ 18.67, rel. 28; 2θ 25.23, rel. 23; 2θ 34.02, rel. 15; 2θ 34.51, rel. 35; 2θ 35.49, rel. 11; 2θ 37.86, rel. 37; 2θ 39.09, rel. 55; 2θ 39.52, rel. 100; 2θ 52.15, rel. 22; 2θ 61.21, rel. 17; 2θ 69.49, rel. 17

Structure:
abc: 4.7528 6.0580 6.0580
angles: 59.09 90.00 90.00
Element x y z (fractional)
1 Mg 0.0000 0.0000 0.0000
2 Mg 0.0000 0.0149 0.5144
3 Mg 0.0000 0.4967 0.4967
4 Mg 0.0000 0.5144 0.0149
5 Mg 0.5000 0.3421 0.8467
6 Mg 0.5000 0.8467 0.3421
7 Ni 0.5000 0.3425 0.3425
8 Mo 0.5000 0.8457 0.8457



Record 12
Starting from the PBE geometry in the Materials Project, the X-ray powder pattern of Mg14NiMo was simulated for a wavelength of 1.5418 Å.

Principal peaks in the range 2θ from 5° to 70°, low angle first:
2θ 16.35, rel. 31; 2θ 18.23, rel. 7; 2θ 24.59, rel. 15; 2θ 28.52, rel. 7; 2θ 33.05, rel. 28; 2θ 34.06, rel. 8; 2θ 36.95, rel. 24; 2θ 38.00, rel. 100; 2θ 48.19, rel. 9; 2θ 50.41, rel. 16; 2θ 59.02, rel. 19; 2θ 67.28, rel. 17

Structure:
abc: 6.2590 6.2590 9.7308
angles: 90.00 90.00 120.00
Element x y z (fractional)
1 Mg 0.0000 0.0000 0.2466
2 Mg 0.0000 0.0000 0.7534
3 Mg 0.0204 0.5102 0.2532
4 Mg 0.0204 0.5102 0.7468
5 Mg 0.3315 0.1657 0.5000
6 Mg 0.3383 0.1692 0.0000
7 Mg 0.4898 0.5102 0.2532
8 Mg 0.4898 0.5102 0.7468
9 Mg 0.4898 0.9796 0.2532
10 Mg 0.4898 0.9796 0.7468
11 Mg 0.8308 0.1692 0.0000
12 Mg 0.8308 0.6617 0.0000
13 Mg 0.8343 0.1657 0.5000
14 Mg 0.8343 0.6685 0.5000
15 Ni 0.3333 0.6667 0.5000
16 Mo 0.3333 0.6667 0.0000



> Which formula does entry 12 have?

Mg14NiMo